[1]
Calculated X-ray powder pattern
Compound: NpAs2O8
Radiation: Cu Kα
Structure: a DFT-relaxed cell (GGA-PBE, Alexandria)
Kinematic intensities with the Lorentz-polarization factor, no thermal factor.

Structure:
```
NpAs2O8
1.0
6.7339 -2.8215 0.0000
6.7339 2.8215 0.0000
-0.0913 0.0000 5.1792
Np As O
1 2 8
Direct
0.0000 0.0000 0.0000
0.1580 0.1580 0.4034
0.8420 0.8420 0.5966
0.1095 0.1095 0.7110
0.1361 0.6870 0.7741
0.2791 0.2791 0.3738
0.3130 0.8639 0.2259
0.6870 0.1361 0.7741
0.7209 0.7209 0.6262
0.8639 0.3130 0.2259
0.8905 0.8905 0.2890
```

Top 8 peaks for 2θ from 10° to 80°, by intensity:
d [Å]	I (rel.)
5.204	100
4.141	40
2.889	27
3.684	21
2.926	21
6.733	21
2.312	14
2.821	14

***

[2]
Calculated X-ray powder pattern
Compound: Ge4IrRu
Radiation: Cu Kα
Structure: a DFT-relaxed cell (GGA-PBE, Alexandria)
Kinematic intensities with the Lorentz-polarization factor, no thermal factor.

Structure:
```
Ge4IrRu
1.0
6.6398 0.0000 0.0000
0.0000 6.0253 0.0000
-3.3146 0.0000 6.0364
Ge Ir Ru
8 2 2
Direct
0.1390 0.2159 0.2864
0.1390 0.2841 0.7864
0.3527 0.7102 0.2150
0.3527 0.7898 0.7150
0.6473 0.2102 0.2850
0.6473 0.2898 0.7850
0.8610 0.7159 0.2136
0.8610 0.7841 0.7136
0.5000 0.0000 0.5000
0.5000 0.5000 0.0000
0.0000 0.0000 0.5000
0.0000 0.5000 0.0000
```

Top 8 peaks for 2θ from 10° to 80°, by intensity:
d [Å]	I (rel.)
4.264	100
2.093	79
2.620	49
2.132	48
2.908	40
1.720	40
1.310	19
1.654	15

***

[3]
Calculated X-ray powder pattern
Compound: AcErTe2O
Radiation: Cu Kα
Structure: a DFT-relaxed cell (GGA-PBE, Alexandria)
Kinematic intensities with the Lorentz-polarization factor, no thermal factor.

Structure:
```
AcErTe2O
1.0
4.3342 0.0000 0.0000
0.0000 4.3342 0.0000
0.0000 0.0000 15.7349
Ac Er Te O
2 2 4 2
Direct
0.2500 0.2500 0.0790
0.7500 0.7500 0.9210
0.2500 0.2500 0.6193
0.7500 0.7500 0.3807
0.2500 0.2500 0.4127
0.2500 0.2500 0.7988
0.7500 0.7500 0.2012
0.7500 0.7500 0.5873
0.2500 0.7500 0.0000
0.7500 0.2500 0.0000
```

Top 8 peaks for 2θ from 10° to 80°, by intensity:
d [Å]	I (rel.)
3.065	100
3.341	55
2.167	42
2.913	27
2.418	25
3.796	25
2.547	24
1.993	21

***

[4]
Calculated X-ray powder pattern
Compound: SrAc2Ga2Pd7
Radiation: Cu Kα
Structure: a DFT-relaxed cell (GGA-PBE, Alexandria)
Kinematic intensities with the Lorentz-polarization factor, no thermal factor.

Structure:
```
SrAc2Ga2Pd7
1.0
3.0673 -3.0162 0.0000
3.0673 3.0162 0.0000
-2.1103 0.0000 13.9399
Sr Ac Ga Pd
1 2 2 7
Direct
0.0000 0.0000 0.0000
0.1070 0.1070 0.3530
0.8930 0.8930 0.6470
0.4196 0.4196 0.7531
0.5804 0.5804 0.2469
0.0497 0.5520 0.1565
0.3768 0.3768 0.5729
0.4480 0.9503 0.8435
0.5000 0.5000 0.0000
0.5520 0.0497 0.1565
0.6232 0.6232 0.4271
0.9503 0.4480 0.8435
```

Top 8 peaks for 2θ from 10° to 80°, by intensity:
d [Å]	I (rel.)
2.530	100
2.148	79
2.138	71
2.948	67
2.640	64
2.572	53
2.734	43
1.509	39